This entry pairs a crystal structure of HoCrO3 with its simulated powder XRD pattern. Radiation: Cu Ka. Structure: a DFT-relaxed cell (GGA+U, Alexandria).
Lines closer than 0.1° are merged.

Crystal structure
Unit cell a=5.601 b=7.638 c=5.285 alpha=90.00 beta=90.00 gamma=90.00
Element x y z (fractional)
Ho: 0.069 0.250 0.020
Ho: 0.431 0.750 0.520
Ho: 0.569 0.250 0.480
Ho: 0.931 0.750 0.980
Cr: 0.000 0.000 0.500
Cr: 0.000 0.500 0.500
Cr: 0.500 0.000 0.000
Cr: 0.500 0.500 0.000
O: 0.043 0.750 0.384
O: 0.196 0.559 0.809
O: 0.196 0.941 0.809
O: 0.304 0.059 0.309
O: 0.304 0.441 0.309
O: 0.457 0.250 0.884
O: 0.543 0.750 0.116
O: 0.696 0.559 0.691
O: 0.696 0.941 0.691
O: 0.804 0.059 0.191
O: 0.804 0.441 0.191
O: 0.957 0.250 0.616

Top 10 peaks for 2θ = 10–90°, by angle:
| 2theta | I (rel.) | h k l |
| --- | --- | --- |
| 23.14 | 24 | 1 0 1 |
| 23.29 | 17 | 0 2 0 |
| 25.95 | 24 | 1 1 1 |
| 31.96 | 17 | 2 0 0 |
| 33.06 | 100 | 1 2 1 |
| 33.92 | 24 | 0 0 2 |
| 34.10 | 16 | 2 1 0 |
| 47.30 | 16 | 2 0 2 |
| 53.41 | 22 | 3 1 1 |
| 60.16 | 21 | 1 2 3 |